Ba2ScW3O12: calculated powder XRD pattern (Cu Ka), based on a cell relaxed with GGA+U.
Lines closer than 0.1° are merged.

Peak list (10 most intense, 15 to 90 degrees two-theta, in order of falling intensity)
d/Å, I (rel.)
3.189, 100.0
3.201, 85.6
5.283, 65.5
3.018, 42.1
1.878, 40.1
2.420, 37.0
1.594, 36.4
3.061, 34.9
2.041, 32.0
2.641, 17.6

```
data_Ba2ScW3O12
_cell_length_a 7.432
_cell_length_b 7.432
_cell_length_c 7.432
_cell_angle_alpha 60.71
_cell_angle_beta 60.71
_cell_angle_gamma 60.71
_space_group_name_H-M_alt 'P 1'
_space_group_IT_number 1
loop_
_space_group_symop_operation_xyz
'x,y,z'
loop_
_atom_site_label
_atom_site_fract_x
_atom_site_fract_y
_atom_site_fract_z
Ba1 0.176 0.176 0.176
Ba2 0.824 0.824 0.824
Sc1 0.500 0.500 0.500
W1 0.000 0.500 0.500
W2 0.500 0.000 0.500
W3 0.500 0.500 0.000
O1 0.164 0.574 0.574
O2 0.190 0.190 0.557
O3 0.190 0.557 0.190
O4 0.426 0.426 0.836
O5 0.426 0.836 0.426
O6 0.443 0.810 0.810
O7 0.557 0.190 0.190
O8 0.574 0.164 0.574
O9 0.574 0.574 0.164
O10 0.810 0.443 0.810
O11 0.810 0.810 0.443
O12 0.836 0.426 0.426
```